Simulated powder X-ray diffraction pattern of In4BiCl6 for λ = 1.5418 Å (Cu Kα), from a DFT-relaxed cell (PBE, Alexandria).

Main lines, by angle (2θ = 15–90°):
Position (°2θ), I_rel
23.3, 24
23.8, 28
25.2, 15
30.0, 100
33.2, 55
37.8, 20
44.9, 16
46.7, 15
48.0, 17
51.2, 28

Atomic structure:
a = 8.529 Å, b = 8.529 Å, c = 9.511 Å
α = 90.00°, β = 90.00°, γ = 90.00°
Space group P4/mnc (No. 128)
Symmetry-distinct sites (fractional):
In 0.147 0.353 0.250 [8 per cell]
Bi 0.000 0.000 0.000 [2 per cell]
Cl 0.000 0.000 0.288 [4 per cell]
Cl 0.144 0.700 0.000 [8 per cell]